This entry pairs a crystal structure of Gd4Fe34C3 with its theoretical X-ray powder pattern. Radiation: Cu Kα (λ = 1.5418 Å). Structure: a PBE-relaxed structure.
No peak broadening, texture or thermal motion is included.

Largest 12 diffraction maxima, by intensity, 10° ≤ 2θ ≤ 90°:
2θ/deg	intensity
42.55	100
41.90	97
43.98	83
37.82	65
42.46	65
30.00	58
36.20	56
42.12	47
42.32	34
43.52	30
36.01	27
30.08	26

Structure:
```
Gd4Fe34C3
1.0
6.4423 0.0000 0.0000
0.7087 6.4370 0.0000
1.4657 1.2436 12.7528
Gd Fe C
4 34 3
Direct
0.1505 0.1642 0.0763 Gd
0.1618 0.1599 0.5736 Gd
0.8382 0.8401 0.4264 Gd
0.8495 0.8358 0.9237 Gd
0.9995 0.4985 0.2506 Fe
0.0005 0.5015 0.7494 Fe
0.1554 0.1589 0.8219 Fe
0.1554 0.6444 0.0779 Fe
0.1560 0.6486 0.5768 Fe
0.1575 0.1565 0.3250 Fe
0.2128 0.5011 0.3931 Fe
0.2152 0.7855 0.7491 Fe
0.2148 0.7857 0.2505 Fe
0.2166 0.4993 0.8916 Fe
0.3518 0.8422 0.4228 Fe
0.3545 0.8416 0.9217 Fe
0.4026 0.4039 0.2015 Fe
0.4037 0.4045 0.7009 Fe
0.4983 0.0007 0.7483 Fe
0.4993 0.7833 0.6073 Fe
0.4991 0.7862 0.1079 Fe
0.5000 0.5000 0.0000 Fe
0.5000 0.5000 0.5000 Fe
0.5009 0.2138 0.8921 Fe
0.5007 0.2167 0.3927 Fe
0.5017 0.9993 0.2517 Fe
0.5963 0.5955 0.2991 Fe
0.5974 0.5961 0.7985 Fe
0.6455 0.1584 0.0783 Fe
0.6482 0.1578 0.5772 Fe
0.7834 0.5007 0.1084 Fe
0.7852 0.2143 0.7495 Fe
0.7848 0.2145 0.2509 Fe
0.7872 0.4989 0.6069 Fe
0.8425 0.8435 0.6750 Fe
0.8440 0.3514 0.4232 Fe
0.8446 0.3556 0.9221 Fe
0.8446 0.8411 0.1781 Fe
0.0000 0.0009 0.2510 C
0.0000 0.9991 0.7490 C
0.5000 0.0000 0.0000 C
```



This entry pairs a crystal structure of Te4Mo3WSe2S2 with its theoretical X-ray powder pattern. Radiation: Cu Kα (λ = 1.5418 Å). Structure: a PBE-relaxed structure.
No peak broadening, texture or thermal motion is included.

Largest 12 diffraction maxima, by intensity, 10° ≤ 2θ ≤ 90°:
2θ/deg	intensity
35.74	100
11.41	93
30.44	57
43.23	55
54.08	35
44.99	17
76.23	16
66.52	16
18.31	15
37.06	14
32.60	13
13.71	13

Structure:
```
Te4Mo3WSe2S2
1.0
3.3921 0.0000 0.0000
-1.6961 2.9377 0.0000
0.0000 0.0000 38.7656
Te Mo W Se S
4 3 1 2 2
Direct
0.0000 0.0000 0.0000 Te
0.0000 0.0000 0.0968 Te
0.0000 0.0000 0.3758 Te
0.0000 0.0000 0.4725 Te
0.0000 0.0000 0.2363 Mo
0.6667 0.3333 0.0484 Mo
0.6667 0.3333 0.4241 Mo
0.0000 0.0000 0.6120 W
0.6667 0.3333 0.1937 Se
0.6667 0.3333 0.2788 Se
0.6667 0.3333 0.5731 S
0.6667 0.3333 0.6509 S
```



This entry pairs a crystal structure of Si2O with its theoretical X-ray powder pattern. Radiation: Cu Kα (λ = 1.5418 Å). Structure: a PBE-relaxed structure.
No peak broadening, texture or thermal motion is included.

Largest 12 diffraction maxima, by intensity, 10° ≤ 2θ ≤ 90°:
2θ/deg	intensity
27.81	100
35.68	88
51.99	53
50.66	40
32.12	37
21.86	33
42.44	28
49.01	28
61.00	27
27.48	21
59.79	17
41.74	13

Structure:
```
Si2O
1.0
3.5162 -1.5468 0.0000
3.5162 1.5468 0.0000
-1.8237 0.0000 4.0667
Si O
2 1
Direct
0.0000 0.0000 0.0000 Si
0.6365 0.6365 0.7315 Si
0.0731 0.0731 0.4217 O
```



This entry pairs a crystal structure of HfMg6B with its theoretical X-ray powder pattern. Radiation: Cu Kα (λ = 1.5418 Å). Structure: a PBE-relaxed structure.
No peak broadening, texture or thermal motion is included.

Largest 12 diffraction maxima, by intensity, 10° ≤ 2θ ≤ 90°:
2θ/deg	intensity
17.52	100
25.57	92
40.27	72
36.53	66
33.94	48
15.47	48
35.46	38
37.46	33
28.21	31
18.48	30
24.19	29
52.54	24

Structure:
```
HfMg6B
1.0
4.8010 0.0000 0.0000
0.0000 2.8220 5.7293
0.0000 -2.8220 5.7293
Hf Mg B
1 6 1
Direct
0.0000 0.0000 0.0000 Hf
0.0000 0.0003 0.5007 Mg
0.0000 0.5007 0.0003 Mg
0.5000 0.1452 0.6449 Mg
0.5000 0.1532 0.1532 Mg
0.5000 0.6198 0.6198 Mg
0.5000 0.6449 0.1452 Mg
0.0000 0.4707 0.4707 B
```



This entry pairs a crystal structure of Pr3RuCl3 with its theoretical X-ray powder pattern. Radiation: Cu Kα (λ = 1.5418 Å). Structure: a PBE-relaxed structure.
No peak broadening, texture or thermal motion is included.

Largest 12 diffraction maxima, by intensity, 10° ≤ 2θ ≤ 90°:
2θ/deg	intensity
31.99	100
40.72	95
32.93	92
34.24	80
28.79	68
12.19	60
44.10	59
50.85	56
36.74	49
26.71	45
29.35	44
24.70	43

Structure:
```
Pr3RuCl3
1.0
14.5164 0.0000 0.0000
0.0000 4.1073 0.0000
0.0000 0.0000 12.4589
Pr Ru Cl
12 4 12
Direct
0.0895 0.2500 0.1630 Pr
0.0995 0.2500 0.6707 Pr
0.1452 0.7500 0.4159 Pr
0.3548 0.2500 0.9159 Pr
0.4005 0.7500 0.1707 Pr
0.4105 0.7500 0.6630 Pr
0.5895 0.2500 0.3370 Pr
0.5995 0.2500 0.8293 Pr
0.6452 0.7500 0.0841 Pr
0.8548 0.2500 0.5841 Pr
0.9005 0.7500 0.3293 Pr
0.9105 0.7500 0.8370 Pr
0.0157 0.2500 0.4038 Ru
0.4843 0.7500 0.9038 Ru
0.5157 0.2500 0.0962 Ru
0.9843 0.7500 0.5962 Ru
0.0442 0.2500 0.8987 Cl
0.2133 0.7500 0.0575 Cl
0.2353 0.7500 0.7768 Cl
0.2647 0.2500 0.2768 Cl
0.2867 0.2500 0.5575 Cl
0.4558 0.7500 0.3987 Cl
0.5442 0.2500 0.6013 Cl
0.7133 0.7500 0.4425 Cl
0.7353 0.7500 0.7232 Cl
0.7647 0.2500 0.2232 Cl
0.7867 0.2500 0.9425 Cl
0.9558 0.7500 0.1013 Cl
```



This entry pairs a crystal structure of BaMg6SnO8 with its theoretical X-ray powder pattern. Radiation: Cu Kα (λ = 1.5418 Å). Structure: a PBE-relaxed structure.
No peak broadening, texture or thermal motion is included.

Largest 12 diffraction maxima, by intensity, 10° ≤ 2θ ≤ 90°:
2θ/deg	intensity
37.68	100
32.95	73
28.17	63
55.57	50
19.35	42
39.29	37
26.40	35
54.35	32
29.21	30
48.38	28
65.04	25
69.10	25

Structure:
```
BaMg6SnO8
1.0
4.7742 0.0000 0.0000
0.0000 4.7742 0.0000
0.0000 0.0000 9.1725
Ba Mg Sn O
1 6 1 8
Direct
0.0000 0.0000 0.0000 Ba
0.0000 0.0000 0.5000 Mg
0.0000 0.5000 0.2791 Mg
0.0000 0.5000 0.7209 Mg
0.5000 0.0000 0.2791 Mg
0.5000 0.0000 0.7209 Mg
0.5000 0.5000 0.5000 Mg
0.5000 0.5000 0.0000 Sn
0.0000 0.0000 0.2847 O
0.0000 0.0000 0.7153 O
0.0000 0.5000 0.0000 O
0.0000 0.5000 0.5000 O
0.5000 0.0000 0.0000 O
0.5000 0.0000 0.5000 O
0.5000 0.5000 0.2785 O
0.5000 0.5000 0.7215 O
```



This entry pairs a crystal structure of NaCa3C2O7F3 with its theoretical X-ray powder pattern. Radiation: Cu Kα (λ = 1.5418 Å). Structure: a PBE-relaxed structure.
No peak broadening, texture or thermal motion is included.

Largest 12 diffraction maxima, by intensity, 10° ≤ 2θ ≤ 90°:
2θ/deg	intensity
44.27	100
46.19	71
31.55	57
35.05	56
26.18	50
15.03	38
40.48	34
59.29	31
17.31	29
54.58	16
65.89	16
32.53	16

Structure:
```
NaCa3C2O7F3
1.0
6.8084 0.0000 0.0000
-3.4042 5.8963 0.0000
0.0000 0.0000 15.3686
Na Ca C O F
3 9 6 21 9
Direct
0.0034 0.2649 0.0000 Na
0.2616 0.9966 0.6667 Na
0.7351 0.7384 0.3333 Na
0.0038 0.6298 0.8419 Ca
0.3611 0.3601 0.4950 Ca
0.3702 0.3740 0.1753 Ca
0.3856 0.3826 0.8301 Ca
0.6174 0.0030 0.1634 Ca
0.6260 0.9962 0.5086 Ca
0.6399 0.0010 0.8284 Ca
0.9970 0.6144 0.4967 Ca
0.9990 0.6389 0.1617 Ca
0.2355 0.6688 0.3272 C
0.3312 0.5667 0.6605 C
0.4333 0.7645 0.9939 C
0.5658 0.3283 0.9920 C
0.6717 0.2374 0.3254 C
0.7626 0.4342 0.6587 C
0.0732 0.7115 0.3386 O
0.2885 0.3617 0.6719 O
0.2970 0.2940 0.3424 O
0.3042 0.6566 0.2500 O
0.3077 0.6700 0.0627 O
0.3300 0.6377 0.3961 O
0.3434 0.6476 0.5833 O
0.3524 0.6958 0.9167 O
0.3623 0.6923 0.7294 O
0.3632 0.2936 0.9968 O
0.6286 0.3132 0.3973 O
0.6383 0.9268 0.0053 O
0.6539 0.3224 0.9178 O
0.6685 0.3461 0.5845 O
0.6776 0.3315 0.2512 O
0.6846 0.3714 0.0639 O
0.6868 0.3154 0.7306 O
0.7060 0.0031 0.6757 O
0.7064 0.0696 0.3302 O
0.9304 0.6368 0.6635 O
0.9969 0.7030 0.0090 O
0.0129 0.2811 0.8511 F
0.2675 0.0020 0.8134 F
0.2682 0.9871 0.5177 F
0.2786 0.0114 0.1657 F
0.7189 0.7318 0.1844 F
0.7328 0.7214 0.8323 F
0.7345 0.7325 0.4800 F
0.9886 0.2672 0.4990 F
0.9980 0.2655 0.1467 F
```



This entry pairs a crystal structure of CaMg6Zr with its theoretical X-ray powder pattern. Radiation: Cu Kα (λ = 1.5418 Å). Structure: a PBE-relaxed structure.
No peak broadening, texture or thermal motion is included.

Largest 12 diffraction maxima, by intensity, 10° ≤ 2θ ≤ 90°:
2θ/deg	intensity
33.71	100
39.37	32
67.80	23
56.34	21
13.68	19
19.39	18
38.62	17
27.31	15
66.77	12
56.90	10
70.89	10
19.04	9

Structure:
```
CaMg6Zr
1.0
6.4729 0.0000 0.0000
0.0000 6.4729 0.0000
0.0000 0.0000 4.6622
Ca Mg Zr
1 6 1
Direct
0.0000 0.0000 0.0000 Ca
0.0000 0.5000 0.0000 Mg
0.2653 0.2653 0.5000 Mg
0.2653 0.7347 0.5000 Mg
0.5000 0.0000 0.0000 Mg
0.7347 0.2653 0.5000 Mg
0.7347 0.7347 0.5000 Mg
0.5000 0.5000 0.0000 Zr
```